This entry pairs a crystal structure of Sm2Ag2O5 with its simulated XRD peak list. Radiation: Cu Kα X-rays. Structure: a DFT-relaxed cell (PBE, the Materials Project).
No peak broadening, texture or thermal motion is included.

Cell and atoms:
```
Sm2Ag2O5
1.0
4.1525 0.0000 0.0000
0.0000 4.1525 0.0000
0.0000 0.0000 7.2114
Sm Ag O
2 2 5
Direct
0.0000 0.0000 0.0000
0.0000 0.0000 0.5000
0.5000 0.5000 0.1956
0.5000 0.5000 0.8044
0.0000 0.5000 0.2153
0.0000 0.5000 0.7847
0.5000 0.0000 0.2153
0.5000 0.0000 0.7847
0.5000 0.5000 0.5000
```

Peak list (6 most intense, 15 to 90 degrees two-theta, low angle first)
- 2θ 30.4, intensity 65.2
- 2θ 32.9, intensity 100.0
- 2θ 43.6, intensity 48.4
- 2θ 55.7, intensity 43.9
- 2θ 63.3, intensity 17.7
- 2θ 89.3, intensity 13.8